No. 1
# CaGa9Ru2
Calculated powder XRD pattern, Cu Kα (λ = 1.5418 Å). Input: DFT lattice parameters and positions (GGA-PBE).
Intensities are scaled so that the largest is 100.

The 10 most intense peaks (2θ = 5–70°), in order of falling intensity:
two_theta, I_rel
43.14, 100
36.93, 59
15.31, 40
45.45, 40
36.46, 37
43.96, 30
40.63, 22
32.10, 22
65.93, 15
16.08, 11

Crystal structure
Cell lengths 11.021, 11.021, 6.801 Å; angles 90.00, 90.00, 90.00 degrees
Space group I4_1/amd (No. 141, origin choice 2)
One atom of each set of equivalent atoms:
Ca  0.000  0.250  0.375 [4 per cell]
Ga  0.000  0.250  0.875 [4 per cell]
Ga  0.121  0.055  0.678 [32 per cell]
Ru  0.000  0.000  0.000 [8 per cell]

=====

No. 2
# Ca2Ga3Ru
Calculated powder XRD pattern, Cu Kα (λ = 1.5418 Å). Input: DFT lattice parameters and positions (GGA-PBE).
Intensities are scaled so that the largest is 100.

The 10 most intense peaks (2θ = 5–70°), in order of falling intensity:
two_theta, I_rel
38.45, 100
39.96, 80
19.67, 66
39.24, 43
46.92, 29
38.05, 28
41.48, 26
67.47, 26
61.66, 24
69.60, 23

Crystal structure
Cell lengths 5.5529, 5.5529, 13.0629 Å; angles 90.00, 90.00, 120.00 degrees
Space group R-3m (No. 166, hexagonal axes)
One atom of each set of equivalent atoms:
Ca  0.0000  0.0000  0.1283 [6 per cell]
Ga  0.0000  0.5000  0.0000 [9 per cell]
Ru  0.0000  0.0000  0.5000 [3 per cell]

=====

No. 3
# Ca2Ga12Ru
Calculated powder XRD pattern, Cu Kα (λ = 1.5418 Å). Input: DFT lattice parameters and positions (GGA-PBE).
Intensities are scaled so that the largest is 100.

The 10 most intense peaks (2θ = 5–70°), in order of falling intensity:
two_theta, I_rel
45.00, 100
42.60, 92
31.77, 84
23.63, 52
10.85, 44
30.40, 42
40.86, 35
37.20, 32
5.42, 29
44.37, 28

Crystal structure
Cell lengths 6.002, 6.002, 16.307 Å; angles 90.00, 90.00, 90.00 degrees
Space group P4/nbm (No. 125, origin choice 2)
One atom of each set of equivalent atoms:
Ca  0.250  0.750  0.248 [4 per cell]
Ga  0.000  0.000  0.088 [8 per cell]
Ga  0.069  0.569  0.430 [8 per cell]
Ga  0.250  0.250  0.190 [4 per cell]
Ga  0.250  0.250  0.341 [4 per cell]
Ru  0.250  0.750  0.000 [2 per cell]

=====

No. 4
# Ca2Zn6GaRu
Calculated powder XRD pattern, Cu Kα (λ = 1.5418 Å). Input: DFT lattice parameters and positions (GGA-PBE).
Intensities are scaled so that the largest is 100.

The 10 most intense peaks (2θ = 5–70°), in order of falling intensity:
two_theta, I_rel
33.68, 100
18.38, 94
38.65, 89
42.11, 77
40.53, 76
19.94, 55
48.62, 47
47.68, 45
32.44, 43
51.55, 41

Crystal structure
Cell lengths 7.034, 8.903, 6.639 Å; angles 90.00, 90.00, 90.00 degrees
Space group Pmmn (No. 59, origin choice 2)
One atom of each set of equivalent atoms:
Ca  0.250  0.005  0.232 [4 per cell]
Zn  0.056  0.750  0.911 [4 per cell]
Zn  0.058  0.250  0.597 [4 per cell]
Zn  0.250  0.501  0.754 [4 per cell]
Ga  0.250  0.750  0.571 [2 per cell]
Ru  0.250  0.250  0.912 [2 per cell]

=====

No. 5
# Ca2GaS
Calculated powder XRD pattern, Cu Kα (λ = 1.5418 Å). Input: DFT lattice parameters and positions (GGA-PBE).
Intensities are scaled so that the largest is 100.

The 10 most intense peaks (2θ = 5–70°), in order of falling intensity:
two_theta, I_rel
28.23, 100
33.02, 59
43.99, 51
52.78, 30
28.43, 19
47.40, 18
66.65, 12
56.09, 11
37.00, 8
55.90, 5

Crystal structure
Cell lengths 7.672, 7.672, 7.779 Å; angles 90.00, 90.00, 90.00 degrees
Space group I-42d (No. 122)
One atom of each set of equivalent atoms:
Ca  0.213  0.750  0.125 [8 per cell]
Ga  0.000  0.000  0.500 [4 per cell]
S  0.000  0.000  0.000 [4 per cell]

=====

No. 6
# CaTmGaS4
Calculated powder XRD pattern, Cu Kα (λ = 1.5418 Å). Input: DFT lattice parameters and positions (GGA-PBE).
Intensities are scaled so that the largest is 100.

The 10 most intense peaks (2θ = 5–70°), in order of falling intensity:
two_theta, I_rel
26.84, 100
46.97, 75
32.74, 70
14.15, 69
27.07, 52
23.32, 29
43.21, 29
16.18, 22
27.25, 20
46.33, 20

Crystal structure
Cell lengths 7.629, 7.839, 10.954 Å; angles 90.00, 90.00, 90.00 degrees
Space group Imma (No. 74)
One atom of each set of equivalent atoms:
Ca  0.250  0.250  0.250 [4 per cell]
Tm  0.000  0.000  0.000 [4 per cell]
Ga  0.000  0.250  0.635 [4 per cell]
S  0.000  0.007  0.754 [8 per cell]
S  0.248  0.250  0.995 [8 per cell]

=====

No. 7
# Ca2GaSb
Calculated powder XRD pattern, Cu Kα (λ = 1.5418 Å). Input: DFT lattice parameters and positions (GGA-PBE).
Intensities are scaled so that the largest is 100.

The 10 most intense peaks (2θ = 5–70°), in order of falling intensity:
two_theta, I_rel
33.44, 100
59.78, 35
23.48, 18
48.02, 17
54.12, 8
20.30, 7
41.27, 6
39.43, 4
52.64, 2
63.82, 1

Crystal structure
Cell lengths 7.579, 7.579, 7.579 Å; angles 90.00, 90.00, 90.00 degrees
Space group Fm-3m (No. 225)
One atom of each set of equivalent atoms:
Ca  0.250  0.250  0.250 [8 per cell]
Ga  0.000  0.000  0.000 [4 per cell]
Sb  0.000  0.000  0.500 [4 per cell]

=====

No. 8
# Ca5Ga2Sb6
Calculated powder XRD pattern, Cu Kα (λ = 1.5418 Å). Input: DFT lattice parameters and positions (GGA-PBE).
Intensities are scaled so that the largest is 100.

The 10 most intense peaks (2θ = 5–70°), in order of falling intensity:
two_theta, I_rel
24.61, 100
31.22, 82
43.99, 66
40.15, 60
44.27, 57
30.38, 56
22.84, 44
23.92, 43
43.42, 40
35.42, 36

Crystal structure
Cell lengths 12.153, 14.115, 4.492 Å; angles 90.00, 90.00, 90.00 degrees
Space group Pbam (No. 55)
One atom of each set of equivalent atoms:
Ca  0.000  0.000  0.000 [2 per cell]
Ca  0.092  0.247  0.000 [4 per cell]
Ca  0.172  0.517  0.000 [4 per cell]
Ga  0.170  0.712  0.500 [4 per cell]
Sb  0.026  0.400  0.500 [4 per cell]
Sb  0.155  0.092  0.500 [4 per cell]
Sb  0.163  0.823  0.000 [4 per cell]

=====

No. 9
# CaSc4Ga4
Calculated powder XRD pattern, Cu Kα (λ = 1.5418 Å). Input: DFT lattice parameters and positions (GGA-PBE).
Intensities are scaled so that the largest is 100.

The 10 most intense peaks (2θ = 5–70°), in order of falling intensity:
two_theta, I_rel
31.36, 100
44.59, 90
34.02, 59
39.58, 53
13.88, 36
19.68, 34
49.19, 31
21.31, 23
44.93, 18
18.87, 18

Crystal structure
Cell lengths 9.022, 9.022, 5.510 Å; angles 90.00, 90.00, 90.00 degrees
Space group P4_2/n (No. 86, origin choice 2)
One atom of each set of equivalent atoms:
Ca  0.250  0.250  0.250 [2 per cell]
Sc  0.101  0.646  0.135 [8 per cell]
Ga  0.044  0.598  0.643 [8 per cell]

=====

No. 10
# CaGa2Se4
Calculated powder XRD pattern, Cu Kα (λ = 1.5418 Å). Input: DFT lattice parameters and positions (GGA-PBE).
Intensities are scaled so that the largest is 100.

The 10 most intense peaks (2θ = 5–70°), in order of falling intensity:
two_theta, I_rel
36.80, 100
29.98, 82
29.90, 80
16.62, 77
52.06, 37
50.54, 33
33.56, 31
51.96, 24
50.59, 24
47.51, 23

Crystal structure
Cell lengths 12.824, 21.280, 21.365 Å; angles 90.00, 90.00, 90.00 degrees
Space group Fddd (No. 70, origin choice 2)
One atom of each set of equivalent atoms:
Ca  0.125  0.125  0.125 [8 per cell]
Ca  0.125  0.125  0.373 [16 per cell]
Ca  0.125  0.125  0.625 [8 per cell]
Ga  0.085  0.304  0.250 [32 per cell]
Ga  0.124  0.261  0.751 [32 per cell]
Se  0.002  0.000  0.587 [32 per cell]
Se  0.002  0.000  0.912 [32 per cell]
Se  0.004  0.093  0.249 [32 per cell]
Se  0.017  0.084  0.751 [32 per cell]

=====

No. 11
# Ca2GaSi
Calculated powder XRD pattern, Cu Kα (λ = 1.5418 Å). Input: DFT lattice parameters and positions (GGA-PBE).
Intensities are scaled so that the largest is 100.

The 10 most intense peaks (2θ = 5–70°), in order of falling intensity:
two_theta, I_rel
30.68, 100
38.58, 85
31.51, 41
39.40, 39
40.31, 34
44.20, 26
16.09, 25
57.64, 24
61.35, 18
62.55, 17

Crystal structure
Cell lengths 5.947, 4.098, 8.684 Å; angles 90.00, 107.29, 90.00 degrees
Space group P2_1/m (No. 11)
One atom of each set of equivalent atoms:
Ca  0.205  0.250  0.427 [2 per cell]
Ca  0.284  0.750  0.067 [2 per cell]
Ga  0.357  0.750  0.715 [2 per cell]
Si  0.153  0.250  0.784 [2 per cell]